Record 1
For Cd5GaAg2, DFT lattice parameters and positions (GGA-PBE) gives the computed powder X-ray diffraction pattern in this record (a wavelength of 1.5418 Å).
Lines closer than 0.1° are merged.

a = 6.034 Å, b = 6.034 Å, c = 6.034 Å
α = 104.79°, β = 104.79°, γ = 119.30°
Fractional positions:
Cd1 0.000 0.000 0.000
Cd2 0.001 0.001 0.500
Cd3 0.001 0.500 0.000
Cd4 0.500 0.001 0.000
Cd5 0.500 0.500 0.500
Ga1 0.501 0.501 0.000
Ag1 0.001 0.501 0.500
Ag2 0.501 0.001 0.500

Peak list (12 most intense, 15 to 90 degrees two-theta, in order of rising 2θ)
Position (°2θ), I_rel
18.90, 1.4
30.86, 0.8
34.45, 67.4
38.33, 100.0
49.51, 23.3
60.76, 6.1
64.30, 40.9
71.75, 14.6
72.63, 7.1
82.08, 10.2
82.93, 10.0
85.24, 9.4

Record 2
For KAsS4, DFT lattice parameters and positions (GGA-PBE) gives the computed powder X-ray diffraction pattern in this record (a wavelength of 1.5418 Å).
Lines closer than 0.1° are merged.

a = 14.692 Å, b = 14.692 Å, c = 5.708 Å
α = 101.16°, β = 101.16°, γ = 22.41°
Fractional positions:
K1 0.125 0.125 0.375
K2 0.875 0.875 0.625
As1 0.375 0.375 0.125
As2 0.625 0.625 0.875
S1 0.048 0.595 0.071
S2 0.405 0.952 0.929
S3 0.429 0.429 0.452
S4 0.429 0.429 0.905
S5 0.571 0.571 0.095
S6 0.571 0.571 0.548
S7 0.595 0.048 0.071
S8 0.952 0.405 0.929

Peak list (12 most intense, 15 to 90 degrees two-theta, in order of rising 2θ)
Position (°2θ), I_rel
15.84, 100.0
22.13, 36.8
22.91, 61.1
29.14, 50.7
31.34, 18.9
33.87, 29.3
36.82, 21.7
38.91, 26.2
40.64, 16.4
41.87, 17.8
51.01, 26.3
52.20, 29.5

Record 3
For Dy3TmGa3, DFT lattice parameters and positions (GGA-PBE) gives the computed powder X-ray diffraction pattern in this record (a wavelength of 1.5418 Å).
Lines closer than 0.1° are merged.

a = 9.059 Å, b = 9.059 Å, c = 4.809 Å
α = 90.00°, β = 90.00°, γ = 120.00°
Fractional positions:
Dy1 0.013 0.759 0.250
Dy2 0.241 0.253 0.250
Dy3 0.253 0.013 0.750
Dy4 0.747 0.987 0.250
Dy5 0.759 0.747 0.750
Dy6 0.987 0.241 0.750
Tm1 0.333 0.667 0.750
Tm2 0.667 0.333 0.250
Ga1 0.058 0.450 0.250
Ga2 0.392 0.942 0.250
Ga3 0.450 0.392 0.750
Ga4 0.550 0.608 0.250
Ga5 0.608 0.058 0.750
Ga6 0.942 0.550 0.750

Peak list (12 most intense, 15 to 90 degrees two-theta, in order of rising 2θ)
Position (°2θ), I_rel
27.04, 17.1
29.38, 18.2
30.14, 26.3
34.29, 13.9
35.57, 100.0
37.40, 25.6
48.76, 13.9
53.53, 10.7
54.43, 14.3
64.70, 9.0
66.29, 18.3
67.12, 10.8

Record 4
For TbPmPr2Nd4, DFT lattice parameters and positions (GGA-PBE) gives the computed powder X-ray diffraction pattern in this record (a wavelength of 1.5418 Å).
Lines closer than 0.1° are merged.

a = 5.187 Å, b = 5.194 Å, c = 10.385 Å
α = 90.00°, β = 90.14°, γ = 90.00°
Fractional positions:
Tb1 0.000 0.000 0.000
Pm1 0.500 0.500 0.500
Pr1 0.000 0.000 0.500
Pr2 0.500 0.500 0.000
Nd1 0.000 0.500 0.249
Nd2 0.000 0.500 0.751
Nd3 0.500 0.000 0.248
Nd4 0.500 0.000 0.752

Peak list (12 most intense, 15 to 90 degrees two-theta, in order of rising 2θ)
Position (°2θ), I_rel
29.81, 100.0
34.56, 50.7
49.66, 30.3
49.75, 6.0
59.00, 36.2
59.10, 7.2
61.87, 6.3
61.98, 6.2
80.64, 11.8
80.77, 5.9
83.19, 10.9
83.30, 4.1

Record 5
For Pu2Si2MoRu5, DFT lattice parameters and positions (GGA-PBE) gives the computed powder X-ray diffraction pattern in this record (a wavelength of 1.5418 Å).
Lines closer than 0.1° are merged.

a = 10.202 Å, b = 10.202 Å, c = 3.133 Å
α = 90.00°, β = 90.00°, γ = 90.00°
Fractional positions:
Pu1 0.175 0.325 0.000
Pu2 0.325 0.825 0.000
Pu3 0.675 0.175 0.000
Pu4 0.825 0.675 0.000
Si1 0.126 0.626 0.000
Si2 0.374 0.126 0.000
Si3 0.626 0.874 0.000
Si4 0.874 0.374 0.000
Mo1 0.000 0.000 0.000
Mo2 0.500 0.500 0.000
Ru1 0.000 0.500 0.500
Ru2 0.064 0.794 0.500
Ru3 0.206 0.064 0.500
Ru4 0.294 0.564 0.500
Ru5 0.436 0.294 0.500
Ru6 0.500 0.000 0.500
Ru7 0.564 0.706 0.500
Ru8 0.706 0.436 0.500
Ru9 0.794 0.936 0.500
Ru10 0.936 0.206 0.500

Peak list (12 most intense, 15 to 90 degrees two-theta, in order of rising 2θ)
Position (°2θ), I_rel
19.46, 34.7
33.57, 15.9
34.73, 74.3
36.31, 92.9
37.40, 34.9
38.04, 29.3
39.50, 21.2
40.12, 100.0
43.08, 23.2
58.96, 16.6
65.75, 20.1
71.25, 26.3

Record 6
For RbCd12In7, DFT lattice parameters and positions (GGA-PBE) gives the computed powder X-ray diffraction pattern in this record (a wavelength of 1.5418 Å).
Lines closer than 0.1° are merged.

a = 9.296 Å, b = 9.296 Å, c = 9.296 Å
α = 112.47°, β = 112.47°, γ = 112.47°
Fractional positions:
Rb1 0.000 0.000 0.000
Cd1 0.000 0.262 0.738
Cd2 0.000 0.738 0.262
Cd3 0.052 0.394 0.394
Cd4 0.262 0.000 0.738
Cd5 0.262 0.738 0.000
Cd6 0.394 0.052 0.394
Cd7 0.394 0.394 0.052
Cd8 0.606 0.606 0.948
Cd9 0.606 0.948 0.606
Cd10 0.738 0.000 0.262
Cd11 0.738 0.262 0.000
Cd12 0.948 0.606 0.606
In1 0.212 0.212 0.556
In2 0.212 0.556 0.212
In3 0.444 0.788 0.788
In4 0.500 0.500 0.500
In5 0.556 0.212 0.212
In6 0.788 0.444 0.788
In7 0.788 0.788 0.444

Peak list (12 most intense, 15 to 90 degrees two-theta, in order of rising 2θ)
Position (°2θ), I_rel
28.87, 44.6
29.03, 45.0
31.30, 42.3
33.29, 21.5
34.43, 46.9
34.83, 100.0
35.31, 80.7
37.24, 37.4
40.86, 21.3
49.78, 27.4
54.40, 23.3
65.99, 35.6

Record 7
For PmTm3Ir4, DFT lattice parameters and positions (GGA-PBE) gives the computed powder X-ray diffraction pattern in this record (a wavelength of 1.5418 Å).
Lines closer than 0.1° are merged.

a = 4.911 Å, b = 4.911 Å, c = 6.616 Å
α = 90.00°, β = 90.00°, γ = 90.00°
Fractional positions:
Pm1 0.000 0.000 0.000
Tm1 0.000 0.000 0.500
Tm2 0.500 0.500 0.000
Tm3 0.500 0.500 0.500
Ir1 0.000 0.500 0.256
Ir2 0.000 0.500 0.744
Ir3 0.500 0.000 0.256
Ir4 0.500 0.000 0.744

Peak list (11 most intense, 15 to 90 degrees two-theta, in order of rising 2θ)
Position (°2θ), I_rel
25.65, 0.7
36.60, 53.8
37.55, 100.0
52.72, 19.1
55.56, 8.1
66.52, 38.1
68.38, 17.4
77.80, 6.2
80.14, 11.3
89.18, 9.1
89.76, 9.0

Record 8
For Te4Mo3WSe2S2, DFT lattice parameters and positions (GGA-PBE) gives the computed powder X-ray diffraction pattern in this record (a wavelength of 1.5418 Å).
Lines closer than 0.1° are merged.

a = 3.395 Å, b = 3.395 Å, c = 36.754 Å
α = 90.00°, β = 90.00°, γ = 120.00°
Fractional positions:
Te1 0.000 0.000 0.000
Te2 0.000 0.000 0.102
Te3 0.000 0.000 0.404
Te4 0.000 0.000 0.506
Mo1 0.000 0.000 0.856
Mo2 0.333 0.667 0.051
Mo3 0.333 0.667 0.455
W1 0.000 0.000 0.252
Se1 0.333 0.667 0.207
Se2 0.333 0.667 0.297
S1 0.333 0.667 0.815
S2 0.333 0.667 0.896

Peak list (12 most intense, 15 to 90 degrees two-theta, in order of rising 2θ)
Position (°2θ), I_rel
30.42, 86.8
32.81, 16.5
34.98, 85.1
36.28, 100.0
42.63, 72.5
44.45, 45.6
49.61, 15.9
54.03, 54.8
59.30, 19.8
66.82, 16.4
71.14, 15.6
76.38, 26.3

What did the sixth record say?
For RbCd12In7, DFT lattice parameters and positions (GGA-PBE) gives the computed powder X-ray diffraction pattern in this record (a wavelength of 1.5418 Å).
Lines closer than 0.1° are merged.

a = 9.296 Å, b = 9.296 Å, c = 9.296 Å
α = 112.47°, β = 112.47°, γ = 112.47°
Fractional positions:
Rb1 0.000 0.000 0.000
Cd1 0.000 0.262 0.738
Cd2 0.000 0.738 0.262
Cd3 0.052 0.394 0.394
Cd4 0.262 0.000 0.738
Cd5 0.262 0.738 0.000
Cd6 0.394 0.052 0.394
Cd7 0.394 0.394 0.052
Cd8 0.606 0.606 0.948
Cd9 0.606 0.948 0.606
Cd10 0.738 0.000 0.262
Cd11 0.738 0.262 0.000
Cd12 0.948 0.606 0.606
In1 0.212 0.212 0.556
In2 0.212 0.556 0.212
In3 0.444 0.788 0.788
In4 0.500 0.500 0.500
In5 0.556 0.212 0.212
In6 0.788 0.444 0.788
In7 0.788 0.788 0.444

Peak list (12 most intense, 15 to 90 degrees two-theta, in order of rising 2θ)
Position (°2θ), I_rel
28.87, 44.6
29.03, 45.0
31.30, 42.3
33.29, 21.5
34.43, 46.9
34.83, 100.0
35.31, 80.7
37.24, 37.4
40.86, 21.3
49.78, 27.4
54.40, 23.3
65.99, 35.6